(1)
For NaLa2Os, DFT lattice parameters and positions (GGA-PBE) gives the theoretical powder XRD pattern in this record (Cu Kα (λ = 1.5418 Å)).
Peak positions follow from Bragg's law for the DFT cell and can differ from measured ones.

Atomic structure:
Unit cell a=3.5305 b=3.5305 c=9.8696 alpha=90.00 beta=90.00 gamma=90.00
Space group P4/mmm (No. 123)
Unique sites:
Na: 0.0000 0.0000 0.0000
La: 0.5000 0.5000 0.3233
Os: 0.0000 0.0000 0.5000

Top 10 peaks for 2θ from 10° to 80°, low angle first:
hkl 1 0 2, 31.15°, I = 100; hkl 1 1 0, 35.98°, I = 56; hkl 1 1 1, 37.15°, I = 35; hkl 1 0 3, 37.36°, I = 80; hkl 1 0 4, 44.81°, I = 21; hkl 2 0 0, 51.79°, I = 20; hkl 1 1 5, 59.72°, I = 15; hkl 2 1 2, 61.68°, I = 28; hkl 2 1 3, 65.58°, I = 31; hkl 1 1 6, 68.29°, I = 16

---

(2)
For NaLa3Os, DFT lattice parameters and positions (GGA-PBE) gives the theoretical powder XRD pattern in this record (Cu Kα (λ = 1.5418 Å)).
Peak positions follow from Bragg's law for the DFT cell and can differ from measured ones.

Atomic structure:
Unit cell a=7.0609 b=7.0644 c=7.9317 alpha=90.54 beta=90.45 gamma=107.71
Space group P-1 (No. 2)
Unique sites:
Na: 0.2497 0.2497 0.0000
La: 0.2470 0.7465 0.2595
La: 0.2502 0.2500 0.4999
La: 0.2527 0.7531 0.7405
Os: 0.0000 0.5000 0.5000
Os: 0.5000 0.0000 0.5000

Top 10 peaks for 2θ from 10° to 80°, low angle first:
hkl 0 0 1, 11.16°, I = 100; hkl 1 -1 0, 15.54°, I = 44; hkl 1 1 1, 24.28°, I = 15; hkl 2 0 0, 26.50°, I = 18; hkl 1 -1 2, 27.39°, I = 16; hkl 1 1 -2, 30.91°, I = 36; hkl 2 -2 0, 31.37°, I = 71; hkl 2 -2 1, 33.39°, I = 15; hkl 1 -3 2, 44.62°, I = 26; hkl 3 -1 2, 44.96°, I = 26

---

(3)
For NaLaPaSe4, DFT lattice parameters and positions (GGA-PBE) gives the theoretical powder XRD pattern in this record (Cu Kα (λ = 1.5418 Å)).
Peak positions follow from Bragg's law for the DFT cell and can differ from measured ones.

Atomic structure:
Unit cell a=8.5444 b=8.8365 c=12.4657 alpha=90.00 beta=90.00 gamma=90.00
Space group Imma (No. 74)
Unique sites:
Na: 0.0000 0.2500 0.1247
La: 0.0000 0.0000 0.5000
Pa: 0.2500 0.2500 0.7500
Se: 0.0000 0.0294 0.7431
Se: 0.2372 0.2500 0.5217

Top 10 peaks for 2θ from 10° to 80°, low angle first:
hkl 0 1 1, 12.28°, I = 100; hkl 1 0 1, 12.56°, I = 28; hkl 1 2 1, 23.78°, I = 22; hkl 2 1 1, 24.22°, I = 35; hkl 0 0 4, 28.64°, I = 43; hkl 2 2 0, 29.07°, I = 85; hkl 2 3 1, 37.79°, I = 25; hkl 0 4 0, 40.85°, I = 18; hkl 2 2 4, 41.27°, I = 71; hkl 2 1 5, 43.23°, I = 18

---

(4)
For Na3La2PaTe6, DFT lattice parameters and positions (GGA-PBE) gives the theoretical powder XRD pattern in this record (Cu Kα (λ = 1.5418 Å)).
Peak positions follow from Bragg's law for the DFT cell and can differ from measured ones.

Atomic structure:
Unit cell a=7.8985 b=13.6829 c=8.0141 alpha=90.00 beta=109.22 gamma=90.00
Space group C2/m (No. 12)
Unique sites:
Na: 0.0000 0.0000 0.0000
Na: 0.0000 0.3307 0.0000
La: 0.0000 0.1664 0.5000
Pa: 0.0000 0.5000 0.5000
Te: 0.2422 0.3384 0.7422
Te: 0.2420 0.5000 0.2587

Top 10 peaks for 2θ from 10° to 80°, low angle first:
hkl 0 0 1, 11.69°, I = 29; hkl 1 3 0, 22.85°, I = 15; hkl 1 3 1, 27.51°, I = 100; hkl 2 0 2, 39.09°, I = 39; hkl 0 6 0, 39.52°, I = 38; hkl 4 0 0, 48.83°, I = 20; hkl 2 6 2, 56.80°, I = 13; hkl 3 3 3, 63.94°, I = 18; hkl 4 6 0, 64.55°, I = 17; hkl 5 3 1, 71.40°, I = 13

---

(5)
For NaLaPb6, DFT lattice parameters and positions (GGA-PBE) gives the theoretical powder XRD pattern in this record (Cu Kα (λ = 1.5418 Å)).
Peak positions follow from Bragg's law for the DFT cell and can differ from measured ones.

Atomic structure:
Unit cell a=4.9161 b=4.9161 c=9.9942 alpha=90.00 beta=90.00 gamma=90.00
Space group P4/mmm (No. 123)
Unique sites:
Na: 0.0000 0.0000 0.0000
La: 0.0000 0.0000 0.5000
Pb: 0.0000 0.5000 0.2432
Pb: 0.5000 0.5000 0.0000
Pb: 0.5000 0.5000 0.5000

Top 10 peaks for 2θ from 10° to 80°, low angle first:
hkl 1 0 0, 18.04°, I = 6; hkl 1 0 2, 25.42°, I = 5; hkl 1 1 2, 31.35°, I = 100; hkl 0 0 4, 35.94°, I = 17; hkl 2 0 0, 36.56°, I = 34; hkl 2 0 4, 52.20°, I = 24; hkl 2 2 0, 52.66°, I = 12; hkl 1 1 6, 61.76°, I = 14; hkl 3 1 2, 62.58°, I = 29; hkl 2 2 4, 65.41°, I = 13

---

(6)
For Na5LaPb6, DFT lattice parameters and positions (GGA-PBE) gives the theoretical powder XRD pattern in this record (Cu Kα (λ = 1.5418 Å)).
Peak positions follow from Bragg's law for the DFT cell and can differ from measured ones.

Atomic structure:
Unit cell a=4.9350 b=9.6991 c=7.7383 alpha=90.00 beta=108.24 gamma=90.00
Space group P2/m (No. 10)
Unique sites:
Na: 0.0000 0.0000 0.0000
Na: 0.3227 0.5000 0.6454
Na: 0.3331 0.0000 0.6659
La: 0.0000 0.5000 0.0000
Pb: 0.1687 0.2477 0.3354
Pb: 0.5000 0.2538 0.0000

Top 10 peaks for 2θ from 10° to 80°, low angle first:
hkl 0 2 0, 18.29°, I = 77; hkl 1 0 1, 25.54°, I = 36; hkl 1 0 -2, 25.70°, I = 35; hkl 1 2 1, 31.60°, I = 100; hkl 1 2 -2, 31.73°, I = 99; hkl 2 0 -1, 36.41°, I = 35; hkl 0 0 3, 36.68°, I = 34; hkl 0 4 0, 37.08°, I = 33; hkl 2 4 -1, 52.94°, I = 24; hkl 1 6 1, 63.46°, I = 28

---

(7)
For NaLaPm2Se4, DFT lattice parameters and positions (GGA-PBE) gives the theoretical powder XRD pattern in this record (Cu Kα (λ = 1.5418 Å)).
Peak positions follow from Bragg's law for the DFT cell and can differ from measured ones.

Atomic structure:
Unit cell a=7.3038 b=4.2205 c=7.4195 alpha=90.00 beta=109.13 gamma=90.00
Space group P2/m (No. 10)
Unique sites:
Na: 0.0000 0.0000 0.0000
La: 0.5000 0.5000 0.0000
Pm: 0.0000 0.5000 0.5000
Pm: 0.5000 0.0000 0.5000
Se: 0.2448 0.0000 0.7457
Se: 0.2509 0.5000 0.2555

Top 10 peaks for 2θ from 10° to 80°, low angle first:
hkl 0 0 1, 12.63°, I = 8; hkl 1 1 1, 29.78°, I = 100; hkl 2 0 2, 42.36°, I = 38; hkl 0 2 0, 42.87°, I = 37; hkl 0 0 4, 52.20°, I = 7; hkl 2 2 -2, 53.07°, I = 19; hkl 2 2 2, 61.85°, I = 12; hkl 0 2 4, 69.77°, I = 17; hkl 1 3 1, 70.51°, I = 16; hkl 4 2 -4, 78.19°, I = 12

---

(8)
For NaLa2Pr, DFT lattice parameters and positions (GGA-PBE) gives the theoretical powder XRD pattern in this record (Cu Kα (λ = 1.5418 Å)).
Peak positions follow from Bragg's law for the DFT cell and can differ from measured ones.

Atomic structure:
Unit cell a=3.6516 b=3.6516 c=39.6623 alpha=90.00 beta=90.00 gamma=120.00
Space group R-3m (No. 166, hexagonal axes)
Unique sites:
Na: 0.0000 0.0000 0.0000
La: 0.0000 0.0000 0.0914
Pr: 0.0000 0.0000 0.5000

Top 10 peaks for 2θ from 10° to 80°, low angle first:
hkl 0 0 12, 26.98°, I = 48; hkl 0 1 2, 28.58°, I = 63; hkl 0 1 5, 30.43°, I = 100; hkl 1 0 7, 32.42°, I = 50; hkl 1 0 10, 36.33°, I = 69; hkl 0 1 17, 48.49°, I = 27; hkl 1 1 0, 49.95°, I = 33; hkl 1 1 12, 57.68°, I = 34; hkl 1 0 22, 58.97°, I = 20; hkl 0 2 10, 63.32°, I = 18

---

(9)
For NaLa3Pr4Se8, DFT lattice parameters and positions (GGA-PBE) gives the theoretical powder XRD pattern in this record (Cu Kα (λ = 1.5418 Å)).
Peak positions follow from Bragg's law for the DFT cell and can differ from measured ones.

Atomic structure:
Unit cell a=14.8133 b=8.5512 c=8.5870 alpha=90.00 beta=125.11 gamma=90.00
Space group C2/m (No. 12)
Unique sites:
Na: 0.0000 0.0000 0.0000
La: 0.0000 0.5000 0.0000
La: 0.2500 0.2500 0.0000
Pr: 0.0000 0.0000 0.5000
Pr: 0.0000 0.5000 0.5000
Pr: 0.2500 0.2500 0.5000
Se: 0.0008 0.2472 0.2489
Se: 0.2485 0.0000 0.2497
Se: 0.2492 0.0000 0.7486

Top 10 peaks for 2θ from 10° to 80°, low angle first:
hkl 2 2 0, 25.50°, I = 7; hkl 4 0 0, 29.48°, I = 100; hkl 2 2 2, 42.10°, I = 38; hkl 0 4 0, 42.27°, I = 37; hkl 0 0 4, 52.08°, I = 7; hkl 4 4 0, 52.38°, I = 20; hkl 8 0 0, 61.18°, I = 12; hkl 6 2 2, 69.23°, I = 17; hkl 10 2 -2, 69.49°, I = 17; hkl 8 4 0, 77.18°, I = 12

---

(10)
For NaLa2Sn3Pt4, DFT lattice parameters and positions (GGA-PBE) gives the theoretical powder XRD pattern in this record (Cu Kα (λ = 1.5418 Å)).
Peak positions follow from Bragg's law for the DFT cell and can differ from measured ones.

Atomic structure:
Unit cell a=4.5693 b=4.5693 c=11.0580 alpha=90.00 beta=90.00 gamma=90.00
Space group P-4m2 (No. 115)
Unique sites:
Na: 0.0000 0.0000 0.0000
La: 0.0000 0.5000 0.7399
Sn: 0.0000 0.5000 0.3738
Sn: 0.5000 0.5000 0.0000
Pt: 0.0000 0.0000 0.5000
Pt: 0.0000 0.5000 0.1391
Pt: 0.5000 0.5000 0.5000

Top 10 peaks for 2θ from 10° to 80°, low angle first:
hkl 1 0 3, 31.18°, I = 57; hkl 1 1 2, 32.09°, I = 100; hkl 2 0 0, 39.44°, I = 77; hkl 1 1 4, 43.06°, I = 45; hkl 1 0 5, 45.57°, I = 33; hkl 2 1 3, 51.11°, I = 29; hkl 2 2 0, 57.01°, I = 27; hkl 2 1 5, 61.81°, I = 27; hkl 3 1 2, 66.93°, I = 24; hkl 3 1 4, 74.03°, I = 19

---

(11)
For Na3LaRh, DFT lattice parameters and positions (GGA-PBE) gives the theoretical powder XRD pattern in this record (Cu Kα (λ = 1.5418 Å)).
Peak positions follow from Bragg's law for the DFT cell and can differ from measured ones.

Atomic structure:
Unit cell a=4.1002 b=4.1002 c=8.6710 alpha=90.00 beta=90.00 gamma=90.00
Space group P4mm (No. 99)
Unique sites:
Na: 0.0000 0.0000 0.0000
Na: 0.0000 0.5000 0.6438
La: 0.5000 0.5000 0.2923
Rh: 0.0000 0.0000 0.3544

Top 10 peaks for 2θ from 10° to 80°, low angle first:
hkl 0 0 1, 10.20°, I = 100; hkl 0 0 2, 20.49°, I = 16; hkl 1 0 2, 30.00°, I = 11; hkl 0 0 3, 30.88°, I = 30; hkl 1 1 1, 32.56°, I = 41; hkl 1 1 2, 37.31°, I = 26; hkl 1 0 3, 38.09°, I = 8; hkl 2 0 0, 44.21°, I = 21; hkl 2 0 1, 45.46°, I = 10; hkl 2 0 3, 54.91°, I = 10

---

(12)
For Na3LaRh, DFT lattice parameters and positions (GGA-PBE) gives the theoretical powder XRD pattern in this record (Cu Kα (λ = 1.5418 Å)).
Peak positions follow from Bragg's law for the DFT cell and can differ from measured ones.

Atomic structure:
Unit cell a=6.6767 b=6.6767 c=24.9846 alpha=90.00 beta=90.00 gamma=120.00
Space group R-3m (No. 166, hexagonal axes)
Unique sites:
Na: 0.0081 0.5041 0.2765
La: 0.0000 0.0000 0.2000
Rh: 0.0000 0.0000 0.2909

Top 10 peaks for 2θ from 10° to 80°, low angle first:
hkl 0 1 2, 16.90°, I = 100; hkl 1 1 0, 26.70°, I = 49; hkl 2 0 2, 31.77°, I = 48; hkl 0 1 8, 32.59°, I = 16; hkl 0 2 4, 34.17°, I = 13; hkl 1 0 10, 39.28°, I = 19; hkl 1 2 2, 41.97°, I = 19; hkl 1 1 12, 51.75°, I = 14; hkl 2 2 0, 55.01°, I = 13; hkl 2 1 10, 55.89°, I = 12

---

(13)
For NaLaRh, DFT lattice parameters and positions (GGA-PBE) gives the theoretical powder XRD pattern in this record (Cu Kα (λ = 1.5418 Å)).
Peak positions follow from Bragg's law for the DFT cell and can differ from measured ones.

Atomic structure:
Unit cell a=3.9429 b=5.6575 c=7.9877 alpha=77.20 beta=75.88 gamma=69.80
Space group P-1 (No. 2)
Unique sites:
Na: 0.1777 0.2185 0.4270
La: 0.4162 0.2970 0.8687
Rh: 0.1513 0.8395 0.8608

Top 10 peaks for 2θ from 10° to 80°, low angle first:
hkl 0 0 1, 11.56°, I = 100; hkl 1 0 -1, 29.04°, I = 15; hkl 1 1 2, 29.15°, I = 14; hkl 1 0 2, 30.63°, I = 32; hkl 0 2 0, 34.16°, I = 16; hkl 0 2 1, 34.41°, I = 19; hkl 0 0 3, 35.16°, I = 15; hkl 1 2 0, 35.44°, I = 20; hkl 1 2 -1, 40.47°, I = 19; hkl 2 1 1, 46.04°, I = 12

---

(14)
For NaLa2Rh2, DFT lattice parameters and positions (GGA-PBE) gives the theoretical powder XRD pattern in this record (Cu Kα (λ = 1.5418 Å)).
Peak positions follow from Bragg's law for the DFT cell and can differ from measured ones.

Atomic structure:
Unit cell a=8.1339 b=8.1339 c=3.7163 alpha=90.00 beta=90.00 gamma=90.00
Space group P4/mbm (No. 127)
Unique sites:
Na: 0.0000 0.0000 0.0000
La: 0.1557 0.3443 0.5000
Rh: 0.1377 0.6377 0.0000

Top 10 peaks for 2θ from 10° to 80°, low angle first:
hkl 1 1 0, 15.41°, I = 30; hkl 2 1 1, 34.50°, I = 100; hkl 3 1 0, 34.88°, I = 30; hkl 4 0 0, 44.56°, I = 12; hkl 3 2 1, 47.13°, I = 8; hkl 3 3 0, 47.42°, I = 11; hkl 0 0 2, 49.02°, I = 9; hkl 4 1 1, 52.52°, I = 10; hkl 3 1 2, 61.57°, I = 11; hkl 5 2 1, 66.86°, I = 21